(1)
Diffraction record for Pu2UPa3N6. The PXRD pattern is simulated, not measured: it uses a PBE-relaxed structure and Cu Ka.

Structure:
a b c (Å): 6.0305 6.0305 6.0372
angles (deg): 99.60 99.60 119.95
Sites, in units of the cell vectors:
1 Pu 0.1660 0.8340 0.0000
2 Pu 0.8340 0.1660 0.0000
3 U 0.5000 0.5000 0.0000
4 Pa 0.0000 0.0000 0.5000
5 Pa 0.3306 0.6694 0.5000
6 Pa 0.6694 0.3306 0.5000
7 N 0.0942 0.4169 0.7503
8 N 0.2625 0.2625 0.2556
9 N 0.4169 0.0942 0.7503
10 N 0.5831 0.9058 0.2497
11 N 0.7375 0.7375 0.7444
12 N 0.9058 0.5831 0.2497

Top 6 peaks for 10° ≤ 2θ ≤ 80°, by angle:
| 2θ/deg | I (rel.) |
| --- | --- |
| 31.5 | 100 |
| 36.5 | 65 |
| 52.5 | 46 |
| 62.5 | 42 |
| 65.7 | 16 |
| 77.5 | 7 |


(2)
Diffraction record for Hg2PdF7. The PXRD pattern is simulated, not measured: it uses a PBE-relaxed structure and Cu Ka.

Structure:
a b c (Å): 6.5005 6.5005 4.3921
angles (deg): 108.67 108.67 70.21
Sites, in units of the cell vectors:
1 Hg 0.1939 0.1939 0.4090
2 Hg 0.8061 0.8061 0.5910
3 Pd 0.5000 0.5000 0.0000
4 F 0.0000 0.0000 0.0000
5 F 0.2229 0.5820 0.6491
6 F 0.2823 0.2823 0.9778
7 F 0.4180 0.7771 0.3509
8 F 0.5820 0.2229 0.6491
9 F 0.7177 0.7177 0.0222
10 F 0.7771 0.4180 0.3509

Top 6 peaks for 10° ≤ 2θ ≤ 80°, by angle:
| 2θ/deg | I (rel.) |
| --- | --- |
| 22.4 | 100 |
| 23.8 | 80 |
| 29.5 | 50 |
| 29.9 | 56 |
| 32.9 | 57 |
| 44.5 | 31 |